For RbGa3, a cell relaxed with PBE gives the computed X-ray diffraction stick pattern in this record (λ = 1.5418 Å (Cu Kα)).
Lines closer than 0.1° are merged.

Atomic structure:
```
data_RbGa3
_chemical_formula_sum 'Rb3 Ga9'
_cell_length_a 8.8292
_cell_length_b 8.8292
_cell_length_c 8.8292
_cell_angle_alpha 137.50
_cell_angle_beta 137.50
_cell_angle_gamma 61.67
_space_group_name_H-M_alt 'P 1'
_space_group_IT_number 1
loop_
_space_group_symop_operation_xyz
'x,y,z'
loop_
_atom_site_label
_atom_site_fract_x
_atom_site_fract_y
_atom_site_fract_z
Rb1 0.0000 0.0000 0.0000
Rb2 0.1277 0.6277 0.5000
Rb3 0.3723 0.8723 0.5000
Ga1 0.0153 0.2231 0.7921
Ga2 0.0855 0.3919 0.6936
Ga3 0.4310 0.2231 0.2079
Ga4 0.5000 0.5000 0.0000
Ga5 0.6081 0.3016 0.6936
Ga6 0.6081 0.9145 0.3064
Ga7 0.6984 0.3919 0.3064
Ga8 0.7769 0.5690 0.7921
Ga9 0.7769 0.9847 0.2079
```

Peak list (10 most intense, 2θ from 10° to 90°, low angle first)
- 15.0 deg, rel. 291
- 27.9 deg, rel. 415
- 30.3 deg, rel. 205
- 30.8 deg, rel. 1000
- 31.8 deg, rel. 942
- 32.7 deg, rel. 302
- 41.7 deg, rel. 220
- 45.7 deg, rel. 299
- 46.4 deg, rel. 291
- 80.6 deg, rel. 216

For RbGa2, a cell relaxed with PBE gives the computed X-ray diffraction stick pattern in this record (λ = 1.5418 Å (Cu Kα)).
Lines closer than 0.1° are merged.

Atomic structure:
```
data_RbGa2
_chemical_formula_sum 'Rb2 Ga4'
_cell_length_a 4.6621
_cell_length_b 4.6685
_cell_length_c 8.7543
_cell_angle_alpha 88.30
_cell_angle_beta 88.27
_cell_angle_gamma 88.89
_space_group_name_H-M_alt 'P 1'
_space_group_IT_number 1
loop_
_space_group_symop_operation_xyz
'x,y,z'
loop_
_atom_site_label
_atom_site_fract_x
_atom_site_fract_y
_atom_site_fract_z
Rb1 0.2459 0.2444 0.1668
Rb2 0.7541 0.7556 0.8332
Ga1 0.2078 0.7941 0.4996
Ga2 0.3016 0.3039 0.6501
Ga3 0.6984 0.6961 0.3499
Ga4 0.7922 0.2059 0.5004
```

Peak list (10 most intense, 2θ from 10° to 90°, low angle first)
- 10.1 deg, rel. 1000
- 27.6 deg, rel. 496
- 28.3 deg, rel. 751
- 28.4 deg, rel. 477
- 33.1 deg, rel. 345
- 34.3 deg, rel. 350
- 38.6 deg, rel. 644
- 45.3 deg, rel. 223
- 48.4 deg, rel. 274
- 48.9 deg, rel. 194

For Rb3Ga11, a cell relaxed with PBE gives the computed X-ray diffraction stick pattern in this record (λ = 1.5418 Å (Cu Kα)).
Lines closer than 0.1° are merged.

Atomic structure:
```
data_Rb3Ga11
_chemical_formula_sum 'Rb3 Ga11'
_cell_length_a 9.3108
_cell_length_b 9.3108
_cell_length_c 9.3108
_cell_angle_alpha 152.34
_cell_angle_beta 96.22
_cell_angle_gamma 90.34
_space_group_name_H-M_alt 'P 1'
_space_group_IT_number 1
loop_
_space_group_symop_operation_xyz
'x,y,z'
loop_
_atom_site_label
_atom_site_fract_x
_atom_site_fract_y
_atom_site_fract_z
Rb1 0.0000 0.0000 0.0000
Rb2 0.2781 0.2781 0.0000
Rb3 0.7219 0.7219 0.0000
Ga1 0.0172 0.3290 0.6881
Ga2 0.1783 0.8779 0.3003
Ga3 0.3400 0.5000 0.8400
Ga4 0.3591 0.6710 0.6881
Ga5 0.4224 0.1221 0.3003
Ga6 0.5000 0.0000 0.5000
Ga7 0.5776 0.8779 0.6997
Ga8 0.6409 0.3290 0.3119
Ga9 0.6600 0.5000 0.1600
Ga10 0.8217 0.1221 0.6997
Ga11 0.9828 0.6710 0.3119
```

Peak list (10 most intense, 2θ from 10° to 90°, low angle first)
- 29.4 deg, rel. 889
- 29.7 deg, rel. 366
- 30.8 deg, rel. 791
- 32.5 deg, rel. 852
- 34.7 deg, rel. 489
- 39.9 deg, rel. 372
- 40.5 deg, rel. 1000
- 42.5 deg, rel. 342
- 50.4 deg, rel. 522
- 51.8 deg, rel. 357

For Rb2TlGaRh, a cell relaxed with PBE gives the computed X-ray diffraction stick pattern in this record (λ = 1.5418 Å (Cu Kα)).
Lines closer than 0.1° are merged.

Atomic structure:
```
data_Rb2TlGaRh
_chemical_formula_sum 'Rb2 Tl1 Ga1 Rh1'
_cell_length_a 6.4540
_cell_length_b 6.4540
_cell_length_c 4.7406
_cell_angle_alpha 90.00
_cell_angle_beta 90.00
_cell_angle_gamma 90.00
_space_group_name_H-M_alt 'P 1'
_space_group_IT_number 1
loop_
_space_group_symop_operation_xyz
'x,y,z'
loop_
_atom_site_label
_atom_site_fract_x
_atom_site_fract_y
_atom_site_fract_z
Rb1 0.0000 0.5000 0.0000
Rb2 0.5000 0.0000 0.0000
Tl1 0.0000 0.0000 0.5000
Ga1 0.5000 0.5000 0.5000
Rh1 0.5000 0.5000 0.0000
```

Peak list (10 most intense, 2θ from 10° to 90°, low angle first)
- 19.5 deg, rel. 318
- 23.3 deg, rel. 534
- 27.1 deg, rel. 793
- 27.6 deg, rel. 1000
- 36.4 deg, rel. 338
- 38.0 deg, rel. 214
- 39.5 deg, rel. 384
- 47.6 deg, rel. 447
- 48.6 deg, rel. 322
- 55.9 deg, rel. 276

For RbGa4S7, a cell relaxed with PBE gives the computed X-ray diffraction stick pattern in this record (λ = 1.5418 Å (Cu Kα)).
Lines closer than 0.1° are merged.

Atomic structure:
```
data_RbGa4S7
_chemical_formula_sum 'Rb2 Ga8 S14'
_cell_length_a 15.1653
_cell_length_b 6.4364
_cell_length_c 6.0956
_cell_angle_alpha 90.00
_cell_angle_beta 90.00
_cell_angle_gamma 90.00
_space_group_name_H-M_alt 'P 1'
_space_group_IT_number 1
loop_
_space_group_symop_operation_xyz
'x,y,z'
loop_
_atom_site_label
_atom_site_fract_x
_atom_site_fract_y
_atom_site_fract_z
Rb1 0.0000 0.1943 0.0000
Rb2 0.5000 0.8057 0.5000
Ga1 0.1224 0.6679 0.5960
Ga2 0.2489 0.1824 0.5762
Ga3 0.2511 0.8176 0.0762
Ga4 0.3776 0.3321 0.0960
Ga5 0.6224 0.3321 0.0960
Ga6 0.7489 0.8176 0.0762
Ga7 0.7511 0.1824 0.5762
Ga8 0.8776 0.6679 0.5960
S1 0.0000 0.8374 0.4627
S2 0.1183 0.6947 0.9700
S3 0.1199 0.3318 0.4798
S4 0.2505 0.1670 0.9643
S5 0.2495 0.8330 0.4643
S6 0.3801 0.6682 0.9798
S7 0.3817 0.3053 0.4700
S8 0.5000 0.1626 0.9627
S9 0.6183 0.3053 0.4700
S10 0.6199 0.6682 0.9798
S11 0.7495 0.1670 0.9643
S12 0.7505 0.8330 0.4643
S13 0.8801 0.3318 0.4798
S14 0.8817 0.6947 0.9700
```

Peak list (10 most intense, 2θ from 10° to 90°, low angle first)
- 22.9 deg, rel. 390
- 23.3 deg, rel. 1000
- 27.3 deg, rel. 770
- 27.7 deg, rel. 714
- 29.3 deg, rel. 986
- 31.1 deg, rel. 502
- 48.0 deg, rel. 383
- 48.8 deg, rel. 677
- 53.1 deg, rel. 621
- 57.9 deg, rel. 466

For Rb3Sc3GaS8, a cell relaxed with PBE gives the computed X-ray diffraction stick pattern in this record (λ = 1.5418 Å (Cu Kα)).
Lines closer than 0.1° are merged.

Atomic structure:
```
data_Rb3Sc3GaS8
_chemical_formula_sum 'Rb3 Sc3 Ga1 S8'
_cell_length_a 7.5084
_cell_length_b 7.5084
_cell_length_c 8.9692
_cell_angle_alpha 114.80
_cell_angle_beta 114.80
_cell_angle_gamma 59.92
_space_group_name_H-M_alt 'P 1'
_space_group_IT_number 1
loop_
_space_group_symop_operation_xyz
'x,y,z'
loop_
_atom_site_label
_atom_site_fract_x
_atom_site_fract_y
_atom_site_fract_z
Rb1 0.0000 0.0000 0.0000
Rb2 0.0000 0.5000 0.0000
Rb3 0.5000 0.0000 0.0000
Sc1 0.0000 0.5000 0.5000
Sc2 0.5000 0.0000 0.5000
Sc3 0.5000 0.5000 0.5000
Ga1 0.0000 0.0000 0.5000
S1 0.2228 0.2228 0.6783
S2 0.2227 0.7328 0.6783
S3 0.2672 0.7773 0.3217
S4 0.2720 0.2720 0.3160
S5 0.7280 0.7280 0.6840
S6 0.7328 0.2227 0.6783
S7 0.7773 0.2672 0.3217
S8 0.7772 0.7772 0.3217
```

Peak list (10 most intense, 2θ from 10° to 90°, low angle first)
- 14.1 deg, rel. 205
- 22.7 deg, rel. 138
- 28.5 deg, rel. 119
- 31.4 deg, rel. 1000
- 33.5 deg, rel. 99
- 41.4 deg, rel. 328
- 47.7 deg, rel. 122
- 48.5 deg, rel. 308
- 59.0 deg, rel. 98
- 62.1 deg, rel. 94

For Rb4Sm3GaS8, a cell relaxed with PBE gives the computed X-ray diffraction stick pattern in this record (λ = 1.5418 Å (Cu Kα)).
Lines closer than 0.1° are merged.

Atomic structure:
```
data_Rb4Sm3GaS8
_chemical_formula_sum 'Rb4 Sm3 Ga1 S8'
_cell_length_a 8.1728
_cell_length_b 8.1728
_cell_length_c 9.0329
_cell_angle_alpha 116.92
_cell_angle_beta 116.92
_cell_angle_gamma 59.93
_space_group_name_H-M_alt 'P 1'
_space_group_IT_number 1
loop_
_space_group_symop_operation_xyz
'x,y,z'
loop_
_atom_site_label
_atom_site_fract_x
_atom_site_fract_y
_atom_site_fract_z
Rb1 0.0000 0.0000 0.0000
Rb2 0.0000 0.5000 0.0000
Rb3 0.5000 0.0000 0.0000
Rb4 0.5000 0.5000 0.0000
Sm1 0.0000 0.0000 0.5000
Sm2 0.0000 0.5000 0.5000
Sm3 0.5000 0.0000 0.5000
Ga1 0.5000 0.5000 0.5000
S1 0.2324 0.2324 0.6976
S2 0.2512 0.7182 0.6877
S3 0.2798 0.2798 0.3108
S4 0.2818 0.7488 0.3123
S5 0.7182 0.2512 0.6877
S6 0.7202 0.7202 0.6892
S7 0.7488 0.2818 0.3123
S8 0.7676 0.7676 0.3024
```

Peak list (10 most intense, 2θ from 10° to 90°, low angle first)
- 11.5 deg, rel. 195
- 23.1 deg, rel. 224
- 26.3 deg, rel. 404
- 29.6 deg, rel. 1000
- 40.3 deg, rel. 358
- 44.4 deg, rel. 332
- 47.0 deg, rel. 144
- 50.6 deg, rel. 152
- 54.2 deg, rel. 170
- 72.6 deg, rel. 140

For RbTbGaS4, a cell relaxed with PBE gives the computed X-ray diffraction stick pattern in this record (λ = 1.5418 Å (Cu Kα)).
Lines closer than 0.1° are merged.

Atomic structure:
```
data_RbTbGaS4
_chemical_formula_sum 'Rb2 Tb2 Ga2 S8'
_cell_length_a 6.9138
_cell_length_b 5.7061
_cell_length_c 9.5358
_cell_angle_alpha 90.00
_cell_angle_beta 105.65
_cell_angle_gamma 90.00
_space_group_name_H-M_alt 'P 1'
_space_group_IT_number 1
loop_
_space_group_symop_operation_xyz
'x,y,z'
loop_
_atom_site_label
_atom_site_fract_x
_atom_site_fract_y
_atom_site_fract_z
Rb1 0.2444 0.2500 0.4573
Rb2 0.7556 0.7500 0.5427
Tb1 0.2460 0.2500 0.9429
Tb2 0.7540 0.7500 0.0571
Ga1 0.2457 0.7500 0.1704
Ga2 0.7543 0.2500 0.8296
S1 0.0492 0.7500 0.3192
S2 0.0823 0.7500 0.9301
S3 0.4927 0.5170 0.7996
S4 0.4927 0.9830 0.7996
S5 0.5073 0.0170 0.2004
S6 0.5073 0.4830 0.2004
S7 0.9177 0.2500 0.0699
S8 0.9508 0.2500 0.6808
```

Peak list (10 most intense, 2θ from 10° to 90°, low angle first)
- 18.3 deg, rel. 576
- 20.5 deg, rel. 773
- 24.9 deg, rel. 558
- 25.7 deg, rel. 813
- 28.6 deg, rel. 554
- 30.8 deg, rel. 1000
- 31.4 deg, rel. 684
- 32.7 deg, rel. 711
- 37.9 deg, rel. 443
- 41.7 deg, rel. 695

For RbGa3Sb3, a cell relaxed with PBE gives the computed X-ray diffraction stick pattern in this record (λ = 1.5418 Å (Cu Kα)).
Lines closer than 0.1° are merged.

Atomic structure:
```
data_RbGa3Sb3
_chemical_formula_sum 'Rb2 Ga6 Sb6'
_cell_length_a 7.7462
_cell_length_b 7.7462
_cell_length_c 7.7462
_cell_angle_alpha 90.00
_cell_angle_beta 90.00
_cell_angle_gamma 90.00
_space_group_name_H-M_alt 'P 1'
_space_group_IT_number 1
loop_
_space_group_symop_operation_xyz
'x,y,z'
loop_
_atom_site_label
_atom_site_fract_x
_atom_site_fract_y
_atom_site_fract_z
Rb1 0.0000 0.0000 0.0000
Rb2 0.5000 0.5000 0.5000
Ga1 0.0000 0.2500 0.5000
Ga2 0.0000 0.7500 0.5000
Ga3 0.2500 0.5000 0.0000
Ga4 0.5000 0.0000 0.2500
Ga5 0.5000 0.0000 0.7500
Ga6 0.7500 0.5000 0.0000
Sb1 0.0000 0.5000 0.2500
Sb2 0.0000 0.5000 0.7500
Sb3 0.2500 0.0000 0.5000
Sb4 0.5000 0.2500 0.0000
Sb5 0.5000 0.7500 0.0000
Sb6 0.7500 0.0000 0.5000
```

Peak list (10 most intense, 2θ from 10° to 90°, low angle first)
- 16.2 deg, rel. 279
- 23.0 deg, rel. 419
- 28.2 deg, rel. 1000
- 40.3 deg, rel. 396
- 43.7 deg, rel. 598
- 46.9 deg, rel. 345
- 52.9 deg, rel. 169
- 66.1 deg, rel. 171
- 68.5 deg, rel. 217
- 75.7 deg, rel. 172

For Rb3Ga2Sb3, a cell relaxed with PBE gives the computed X-ray diffraction stick pattern in this record (λ = 1.5418 Å (Cu Kα)).
Lines closer than 0.1° are merged.

Atomic structure:
```
data_Rb3Ga2Sb3
_chemical_formula_sum 'Rb6 Ga4 Sb6'
_cell_length_a 7.9763
_cell_length_b 7.9763
_cell_length_c 16.2912
_cell_angle_alpha 90.00
_cell_angle_beta 90.00
_cell_angle_gamma 145.92
_space_group_name_H-M_alt 'P 1'
_space_group_IT_number 1
loop_
_space_group_symop_operation_xyz
'x,y,z'
loop_
_atom_site_label
_atom_site_fract_x
_atom_site_fract_y
_atom_site_fract_z
Rb1 0.0631 0.9369 0.6094
Rb2 0.0631 0.9369 0.8906
Rb3 0.3558 0.6442 0.7500
Rb4 0.6442 0.3558 0.2500
Rb5 0.9369 0.0631 0.1094
Rb6 0.9369 0.0631 0.3906
Ga1 0.2410 0.7590 0.0933
Ga2 0.2410 0.7590 0.4067
Ga3 0.7590 0.2410 0.5933
Ga4 0.7590 0.2410 0.9067
Sb1 0.3246 0.6754 0.2500
Sb2 0.3506 0.6494 0.5447
Sb3 0.3506 0.6494 0.9553
Sb4 0.6494 0.3506 0.0447
Sb5 0.6494 0.3506 0.4553
Sb6 0.6754 0.3246 0.7500
```

Peak list (10 most intense, 2θ from 10° to 90°, low angle first)
- 11.6 deg, rel. 480
- 25.9 deg, rel. 1000
- 26.5 deg, rel. 533
- 28.6 deg, rel. 431
- 29.7 deg, rel. 619
- 30.8 deg, rel. 441
- 34.1 deg, rel. 308
- 38.5 deg, rel. 430
- 41.9 deg, rel. 249
- 45.9 deg, rel. 280

For RbZnGaSb2, a cell relaxed with PBE gives the computed X-ray diffraction stick pattern in this record (λ = 1.5418 Å (Cu Kα)).
Lines closer than 0.1° are merged.

Atomic structure:
```
data_RbZnGaSb2
_chemical_formula_sum 'Rb2 Zn2 Ga2 Sb4'
_cell_length_a 7.3417
_cell_length_b 7.3417
_cell_length_c 10.8403
_cell_angle_alpha 98.07
_cell_angle_beta 98.07
_cell_angle_gamma 35.28
_space_group_name_H-M_alt 'P 1'
_space_group_IT_number 1
loop_
_space_group_symop_operation_xyz
'x,y,z'
loop_
_atom_site_label
_atom_site_fract_x
_atom_site_fract_y
_atom_site_fract_z
Rb1 0.1586 0.1586 0.1716
Rb2 0.8414 0.8414 0.8284
Zn1 0.1721 0.1721 0.5873
Zn2 0.8279 0.8279 0.4127
Ga1 0.4511 0.4511 0.3139
Ga2 0.5489 0.5489 0.6861
Sb1 0.1160 0.1160 0.8183
Sb2 0.3683 0.3683 0.5543
Sb3 0.6317 0.6317 0.4457
Sb4 0.8840 0.8840 0.1817
```

Peak list (10 most intense, 2θ from 10° to 90°, low angle first)
- 22.9 deg, rel. 932
- 25.7 deg, rel. 884
- 27.4 deg, rel. 558
- 32.0 deg, rel. 925
- 33.3 deg, rel. 596
- 34.0 deg, rel. 522
- 40.3 deg, rel. 551
- 40.6 deg, rel. 1000
- 41.7 deg, rel. 551
- 44.0 deg, rel. 513

For RbGa4Se7, a cell relaxed with PBE gives the computed X-ray diffraction stick pattern in this record (λ = 1.5418 Å (Cu Kα)).
Lines closer than 0.1° are merged.

Atomic structure:
```
data_RbGa4Se7
_chemical_formula_sum 'Rb2 Ga8 Se14'
_cell_length_a 15.7424
_cell_length_b 6.6873
_cell_length_c 6.4243
_cell_angle_alpha 90.00
_cell_angle_beta 90.00
_cell_angle_gamma 90.00
_space_group_name_H-M_alt 'P 1'
_space_group_IT_number 1
loop_
_space_group_symop_operation_xyz
'x,y,z'
loop_
_atom_site_label
_atom_site_fract_x
_atom_site_fract_y
_atom_site_fract_z
Rb1 0.0000 0.1813 0.0000
Rb2 0.5000 0.8187 0.5000
Ga1 0.1218 0.6676 0.6198
Ga2 0.2490 0.1808 0.5991
Ga3 0.2510 0.8192 0.0991
Ga4 0.3782 0.3324 0.1198
Ga5 0.6218 0.3324 0.1198
Ga6 0.7490 0.8192 0.0991
Ga7 0.7510 0.1808 0.5991
Ga8 0.8782 0.6676 0.6198
Se1 0.0000 0.8473 0.4771
Se2 0.1157 0.3251 0.4949
Se3 0.1157 0.6852 0.9972
Se4 0.2452 0.1758 0.9905
Se5 0.2548 0.8242 0.4905
Se6 0.3843 0.3148 0.4972
Se7 0.3843 0.6749 0.9949
Se8 0.5000 0.1527 0.9771
Se9 0.6157 0.3148 0.4972
Se10 0.6157 0.6749 0.9949
Se11 0.7452 0.8242 0.4905
Se12 0.7548 0.1758 0.9905
Se13 0.8843 0.3251 0.4949
Se14 0.8843 0.6852 0.9972
```

Peak list (10 most intense, 2θ from 10° to 90°, low angle first)
- 26.3 deg, rel. 723
- 26.7 deg, rel. 602
- 27.8 deg, rel. 958
- 29.8 deg, rel. 1000
- 30.1 deg, rel. 458
- 38.6 deg, rel. 306
- 46.1 deg, rel. 362
- 46.8 deg, rel. 678
- 50.4 deg, rel. 729
- 55.3 deg, rel. 503